[1]
The following is a theoretical powder diffraction line list of LiZn2Pt. It was derived from a crystal structure in OQMD, relaxed with PBE, using copper Kα.

Largest 10 diffraction maxima, by angle, 2θ from 15° to 90°:
2theta  I (rel.)  hkl
15.9  88  0 0 1
32.2  67  1 0 1
39.8  62  1 1 0
43.0  100  1 0 2
43.1  30  1 1 1
57.3  13  1 0 3
57.6  21  2 0 0
67.5  17  2 1 1
74.5  38  2 1 2
81.0  15  1 1 4

Atomic structure:
a b c (Å): 3.202 3.202 5.574
angles (deg): 90.00 90.00 90.00
Space group P4/mmm (No. 123)
One atom of each set of equivalent atoms:
Li 0.000 0.000 0.000 [1 per cell]
Zn 0.500 0.500 0.248 [2 per cell]
Pt 0.000 0.000 0.500 [1 per cell]

[2]
The following is a theoretical powder diffraction line list of Rb2CdSe2O6. It was derived from a crystal structure in OQMD, relaxed with PBE, using copper Kα.

Largest 10 diffraction maxima, by angle, 2θ from 15° to 90°:
2theta  I (rel.)  hkl
29.1  100  0 1 5
31.0  86  1 1 0
41.9  22  1 1 6
43.0  29  2 0 5
50.2  11  1 0 10
53.9  30  1 2 5
55.0  9  0 1 11
55.1  17  3 0 0
64.6  16  2 2 0
72.3  14  3 1 5

Atomic structure:
a b c (Å): 5.7714 5.7714 19.4882
angles (deg): 90.00 90.00 120.00
Space group R-3m (No. 166, hexagonal axes)
One atom of each set of equivalent atoms:
Rb 0.0000 0.0000 0.1969 [6 per cell]
Cd 0.0000 0.0000 0.0000 [3 per cell]
Se 0.0000 0.0000 0.3735 [6 per cell]
O 0.0216 0.5108 0.2555 [18 per cell]

Please write out number 1 again, unchanged.
The following is a theoretical powder diffraction line list of LiZn2Pt. It was derived from a crystal structure in OQMD, relaxed with PBE, using copper Kα.

Largest 10 diffraction maxima, by angle, 2θ from 15° to 90°:
2theta  I (rel.)  hkl
15.9  88  0 0 1
32.2  67  1 0 1
39.8  62  1 1 0
43.0  100  1 0 2
43.1  30  1 1 1
57.3  13  1 0 3
57.6  21  2 0 0
67.5  17  2 1 1
74.5  38  2 1 2
81.0  15  1 1 4

Atomic structure:
a b c (Å): 3.202 3.202 5.574
angles (deg): 90.00 90.00 90.00
Space group P4/mmm (No. 123)
One atom of each set of equivalent atoms:
Li 0.000 0.000 0.000 [1 per cell]
Zn 0.500 0.500 0.248 [2 per cell]
Pt 0.000 0.000 0.500 [1 per cell]